This entry pairs a crystal structure of Mo3H2O10 with its theoretical powder diffraction line list. Radiation: Cu Kα (weighted mean of Kα1 and Kα2). Structure: the PBE+U geometry in Alexandria.

Most intense lines, 10 to 90 degrees two-theta, by angle:
3.715 Å, 2θ = 24.0°, intensity 56.6
3.674 Å, 2θ = 24.2°, intensity 39.1
3.625 Å, 2θ = 24.6°, intensity 38.7
3.513 Å, 2θ = 25.4°, intensity 100.0
3.122 Å, 2θ = 28.6°, intensity 65.5
2.621 Å, 2θ = 34.2°, intensity 44.2

abc: 11.109 3.769 11.172
angles: 90.00 118.67 90.00
Positions (direct):
Mo (0.025, 0.250, 0.384)
Mo (0.141, 0.750, 0.028)
Mo (0.394, 0.750, 0.858)
Mo (0.606, 0.250, 0.142)
Mo (0.859, 0.250, 0.972)
Mo (0.975, 0.750, 0.616)
H (0.403, 0.750, 0.334)
H (0.489, 0.750, 0.491)
H (0.511, 0.250, 0.509)
H (0.597, 0.250, 0.666)
O (0.008, 0.250, 0.581)
O (0.013, 0.750, 0.788)
O (0.076, 0.250, 0.995)
O (0.199, 0.250, 0.466)
O (0.217, 0.750, 0.202)
O (0.225, 0.750, 0.721)
O (0.281, 0.750, 0.997)
O (0.422, 0.250, 0.925)
O (0.494, 0.750, 0.781)
O (0.498, 0.750, 0.408)
O (0.502, 0.250, 0.592)
O (0.506, 0.250, 0.219)
O (0.578, 0.750, 0.075)
O (0.719, 0.250, 0.003)
O (0.775, 0.250, 0.279)
O (0.783, 0.250, 0.798)
O (0.801, 0.750, 0.534)
O (0.924, 0.750, 0.005)
O (0.987, 0.250, 0.212)
O (0.992, 0.750, 0.419)